Structure and computed X-ray powder pattern of Ta2Zn2CrO8 (a PBE+U-relaxed structure; Cu Kα).
Neutral-atom scattering factors, no anomalous dispersion.

Principal peaks in the range 2θ from 5° to 70°, most intense first:
33.9 deg, d = 2.644 Å, I 100, (2 0 0); 26.6 deg, d = 3.356 Å, I 99, (0 1 2); 34.0 deg, d = 2.635 Å, I 89, (1 -2 1); 34.6 deg, d = 2.591 Å, I 88, (1 2 -1); 32.0 deg, d = 2.797 Å, I 82, (1 1 2); 18.1 deg, d = 4.912 Å, I 81, (0 0 2); 32.6 deg, d = 2.743 Å, I 80, (1 -1 3); 27.7 deg, d = 3.225 Å, I 63, (0 1 -3); 31.1 deg, d = 2.874 Å, I 61, (-1 1 2); 32.4 deg, d = 2.764 Å, I 60, (1 1 -3)

Structural model:
Cell: 5.290 6.018 10.159 Å, 104.68 90.96 91.16°
Atoms (fractional coordinates):
Ta (0.225, 0.473, 0.234)
Ta (0.271, 0.215, 0.764)
Ta (0.729, 0.785, 0.236)
Ta (0.775, 0.527, 0.766)
Zn (0.233, 0.067, 0.437)
Zn (0.269, 0.628, 0.560)
Zn (0.731, 0.372, 0.440)
Zn (0.767, 0.933, 0.563)
Cr (0.249, 0.853, 0.003)
Cr (0.751, 0.147, 0.997)
O (0.062, 0.707, 0.147)
O (0.071, 0.216, 0.121)
O (0.072, 0.416, 0.642)
O (0.140, 0.947, 0.612)
O (0.357, 0.348, 0.388)
O (0.411, 0.055, 0.882)
O (0.432, 0.792, 0.361)
O (0.448, 0.514, 0.852)
O (0.552, 0.486, 0.148)
O (0.568, 0.208, 0.639)
O (0.589, 0.945, 0.118)
O (0.643, 0.652, 0.612)
O (0.860, 0.053, 0.388)
O (0.928, 0.584, 0.358)
O (0.929, 0.784, 0.879)
O (0.938, 0.293, 0.853)